# V3P6WO24
Theoretical X-ray powder pattern, Cu Ka. Input: a crystal structure in Alexandria, relaxed with PBE+U.
Lines closer than 0.1° are merged.

Main lines, by intensity (10 to 80 degrees two-theta):
index	2θ/deg	d_spacing	intensity
1 1 3	24.03	3.704	100
1 0 4	20.12	4.414	99
0 1 2	14.39	6.157	80
2 -1 6	32.13	2.786	72
0 2 4	29.00	3.079	67
1 1 0	20.68	4.296	62
1 0 1	12.56	7.046	41
2 1 4	35.89	2.502	24
3 0 0	36.22	2.480	23
2 1 10	52.94	1.729	21
2 2 6	49.20	1.852	19
1 4 0	56.70	1.624	19

Structural model:
abc: 8.5913 8.5913 21.9331
angles: 90.00 90.00 120.00
Space group R3 (No. 146, hexagonal axes)
Asymmetric unit:
V 0.0000 0.0000 0.0000 x3
V 0.0000 0.0000 0.2157 x3
V 0.0000 0.0000 0.5014 x3
P 0.0022 0.2888 0.6055 x9
P 0.0048 0.7234 0.1085 x9
W 0.0000 0.0000 0.7161 x3
O 0.0167 0.8256 0.7661 x9
O 0.0215 0.8240 0.0493 x9
O 0.0425 0.2042 0.5509 x9
O 0.0474 0.2044 0.2660 x9
O 0.1603 0.4753 0.3311 x9
O 0.1603 0.4776 0.6150 x9
O 0.1728 0.7080 0.1171 x9
O 0.1769 0.7145 0.8303 x9